Tm2ScPb3: simulated XRD peak list (copper Kα), based on a DFT-relaxed cell (GGA-PBE, Alexandria).
No peak broadening, texture or thermal motion is included.

Most intense lines, 10 to 80 degrees two-theta, in order of falling intensity:
2θ/deg  intensity  hkl
30.68  1000  0 2 2
31.73  333  2 1 2
35.72  306  2 -1 0
35.82  296  2 2 0
38.58  279  0 3 0
44.72  192  2 0 -2
50.78  171  2 4 2
28.59  121  2 1 1
52.42  112  2 3 4
48.81  109  0 1 4

Atomic structure:
a b c (Å): 6.301 7.575 7.898
angles (deg): 70.78 70.90 73.10
Space group P-1 (No. 2)
Unique sites:
Tm1 0.137 0.158 0.084 x2
Tm2 0.281 0.527 0.239 x2
Sc1 0.437 0.827 0.435 x2
Pb1 0.069 0.167 0.565 x2
Pb2 0.221 0.500 0.731 x2
Pb3 0.386 0.842 0.872 x2


La8Dy3Er2: simulated XRD peak list (copper Kα), based on a DFT-relaxed cell (GGA-PBE, Alexandria).
No peak broadening, texture or thermal motion is included.

Most intense lines, 10 to 80 degrees two-theta, in order of falling intensity:
2θ/deg  intensity  hkl
30.66  1000  4 2 -1
29.13  685  2 0 -2
30.25  547  0 4 0
31.93  264  3 1 1
30.46  258  1 1 -2
37.45  177  1 3 -2
54.00  173  4 6 -1
53.56  168  6 2 -3
42.49  156  2 4 -2
38.69  135  3 3 1

Atomic structure:
a b c (Å): 13.639 11.816 6.148
angles (deg): 90.00 112.63 90.00
Space group C2/m (No. 12)
Unique sites:
La1 0.086 0.000 0.235 x4
La2 0.139 0.500 0.612 x4
La3 0.162 0.262 0.149 x8
Dy1 0.000 0.226 0.500 x4
Dy2 0.000 0.500 0.000 x2
Er1 0.187 0.000 0.819 x4


Dy12TmTh3: simulated XRD peak list (copper Kα), based on a DFT-relaxed cell (GGA-PBE, Alexandria).
No peak broadening, texture or thermal motion is included.

Most intense lines, 10 to 80 degrees two-theta, in order of falling intensity:
2θ/deg  intensity  hkl
30.90  1000  1 1 4
35.76  340  2 0 0
61.25  290  3 1 4
51.62  241  2 0 8
35.96  168  0 0 8
61.51  143  1 1 12
64.39  125  2 2 8
51.47  122  2 2 0
75.77  39  4 0 0
76.25  19  0 0 16

Atomic structure:
a b c (Å): 5.021 5.021 19.980
angles (deg): 90.00 90.00 90.00
Space group P4/mmm (No. 123)
Unique sites:
Dy1 0.000 0.000 0.000 x1
Dy2 0.000 0.000 0.249 x2
Dy3 0.000 0.000 0.500 x1
Dy4 0.000 0.500 0.125 x4
Dy5 0.000 0.500 0.375 x4
Tm1 0.500 0.500 0.000 x1
Th1 0.500 0.500 0.251 x2
Th2 0.500 0.500 0.500 x1


Pm5GeBi4: simulated XRD peak list (copper Kα), based on a DFT-relaxed cell (GGA-PBE, Alexandria).
No peak broadening, texture or thermal motion is included.

Most intense lines, 10 to 80 degrees two-theta, in order of falling intensity:
2θ/deg  intensity  hkl
27.91  1000  1 1 0
39.88  773  2 0 0
49.38  278  2 0 10
72.41  263  3 1 10
65.23  249  3 1 0
65.32  111  1 1 20
57.63  91  2 2 0
57.74  40  0 0 20
32.06  25  1 0 9
24.11  19  1 0 5

Atomic structure:
a b c (Å): 4.524 4.524 31.934
angles (deg): 90.00 90.00 90.00
Space group I4/mmm (No. 139)
Unique sites:
Pm1 0.000 0.000 0.000 x2
Pm2 0.000 0.000 0.200 x4
Pm3 0.000 0.000 0.406 x4
Ge1 0.000 0.000 0.500 x2
Bi1 0.000 0.000 0.100 x4
Bi2 0.000 0.000 0.302 x4